For Y2Co2O5, a DFT-relaxed cell (PBE+U, OQMD) gives the computed powder XRD pattern in this record (Cu Kα, 1.54184 Å).
Lines closer than 0.1° are merged.

Structure:
```
data_Y2Co2O5
_symmetry_space_group_name_H-M 'P 4/m m m'
_symmetry_Int_Tables_number 123
_symmetry_space_group_name_Hall '-P 4 2'
_cell_length_a 3.8379
_cell_length_b 3.8379
_cell_length_c 8.7657
_cell_angle_alpha 90.00
_cell_angle_beta 90.00
_cell_angle_gamma 90.00
loop_
_atom_site_label
_atom_site_type_symbol
_atom_site_fract_x
_atom_site_fract_y
_atom_site_fract_z
Y1 Y 0.0000 0.0000 0.2468
Co1 Co 0.5000 0.5000 0.0000
Co2 Co 0.5000 0.5000 0.5000
O1 O 0.0000 0.0000 0.5000
O2 O 0.0000 0.5000 0.1391
```

Peak list (10 most intense, 2θ = 10–80°, low angle first)
index	Position (°2θ)	I_rel
1 0 0	23.18	7
1 0 2	30.97	100
1 1 0	33.01	33
0 0 4	41.19	9
2 0 0	47.37	26
1 1 4	53.77	33
2 1 2	57.68	32
2 0 4	64.55	10
1 0 6	68.75	9
2 2 0	69.24	7